Entry 1:
Pm6ZnBi2: calculated powder XRD pattern (Cu Kα), based on a cell relaxed with GGA-PBE.

Atomic structure:
Cell lengths 8.6621, 8.6621, 4.3314 Å; angles 90.00, 90.00, 120.00 degrees
Space group P-62m (No. 189)
Asymmetric unit:
Pm1 0.0000 0.4089 0.0000 x3
Pm2 0.0000 0.7573 0.5000 x3
Zn1 0.0000 0.0000 0.0000 x1
Bi1 0.3333 0.6667 0.5000 x2

Peak list (10 most intense, 15 to 90 degrees two-theta, sorted by position)
2θ/deg	d/Å	I/Imax
29.16	3.063	700
31.55	2.835	1000
35.91	2.501	256
37.93	2.372	244
41.71	2.166	259
53.22	1.721	230
56.19	1.637	225
57.63	1.599	212
60.46	1.531	177
69.80	1.347	136



Entry 2:
Y3Se4: calculated powder XRD pattern (Cu Kα), based on a cell relaxed with GGA-PBE.

Atomic structure:
Cell lengths 14.043, 8.191, 13.982 Å; angles 90.00, 109.10, 90.00 degrees
Space group C2/m (No. 12)
Asymmetric unit:
Y1 0.000 0.000 0.000 x2
Y2 0.000 0.000 0.500 x2
Y3 0.003 0.258 0.254 x8
Y4 0.243 0.500 0.746 x4
Y5 0.250 0.250 0.000 x4
Y6 0.250 0.250 0.500 x4
Se1 0.121 0.500 0.878 x4
Se2 0.124 0.248 0.625 x8
Se3 0.125 0.000 0.374 x4
Se4 0.125 0.000 0.872 x4
Se5 0.127 0.244 0.126 x8
Se6 0.128 0.500 0.375 x4

Peak list (10 most intense, 15 to 90 degrees two-theta, sorted by position)
2θ/deg	d/Å	I/Imax
31.00	2.885	1000
31.35	2.854	486
44.23	2.048	182
44.59	2.032	534
44.74	2.025	354
55.21	1.664	186
55.39	1.659	92
64.62	1.442	114
73.68	1.286	154
82.39	1.171	143



Entry 3:
Pu2ZnSi2Ru5: calculated powder XRD pattern (Cu Kα), based on a cell relaxed with GGA-PBE.

Atomic structure:
Cell lengths 9.886, 9.886, 3.299 Å; angles 90.00, 90.00, 90.00 degrees
Space group P4/mbm (No. 127)
Asymmetric unit:
Pu1 0.173 0.327 0.000 x4
Zn1 0.000 0.000 0.000 x2
Si1 0.128 0.628 0.000 x4
Ru1 0.000 0.500 0.500 x2
Ru2 0.067 0.793 0.500 x8

Peak list (10 most intense, 15 to 90 degrees two-theta, sorted by position)
2θ/deg	d/Å	I/Imax
20.08	4.421	296
32.64	2.743	214
33.91	2.644	773
37.51	2.398	1000
38.64	2.330	312
39.72	2.269	890
42.89	2.109	208
55.75	1.649	242
66.92	1.398	261
69.14	1.359	306



Entry 4:
KNaMg2Si4O10F2: calculated powder XRD pattern (Cu Kα), based on a cell relaxed with GGA-PBE.

Atomic structure:
Cell lengths 5.345, 9.177, 10.491 Å; angles 90.00, 101.16, 90.00 degrees
Space group C2/m (No. 12)
Asymmetric unit:
K1 0.000 0.000 0.000 x2
Na1 0.000 0.500 0.500 x2
Mg1 0.000 0.166 0.500 x4
Si1 0.082 0.330 0.229 x8
O1 0.053 0.500 0.174 x4
O2 0.140 0.318 0.384 x8
O3 0.191 0.248 0.837 x8
F1 0.095 0.000 0.393 x4

Peak list (10 most intense, 15 to 90 degrees two-theta, sorted by position)
2θ/deg	d/Å	I/Imax
23.82	3.736	549
26.00	3.427	1000
28.27	3.157	635
29.86	2.992	480
34.20	2.622	772
36.69	2.450	474
36.98	2.431	302
41.03	2.200	303
53.71	1.707	327
60.11	1.539	305



Entry 5:
Ac6CuOs2: calculated powder XRD pattern (Cu Kα), based on a cell relaxed with GGA-PBE.

Atomic structure:
Cell lengths 18.474, 4.433, 8.431 Å; angles 90.00, 98.79, 90.00 degrees
Space group C2/m (No. 12)
Asymmetric unit:
Ac1 0.009 0.000 0.255 x4
Ac2 0.168 0.500 0.096 x4
Ac3 0.170 0.500 0.566 x4
Cu1 0.000 0.500 0.000 x2
Os1 0.164 0.000 0.323 x4

Peak list (10 most intense, 15 to 90 degrees two-theta, sorted by position)
2θ/deg	d/Å	I/Imax
23.60	3.770	90
24.84	3.585	374
26.68	3.342	101
29.30	3.048	1000
39.24	2.296	98
40.71	2.216	416
43.10	2.099	342
50.95	1.792	214
60.73	1.525	83
67.13	1.394	126



Entry 6:
ThSi2Os4: calculated powder XRD pattern (Cu Kα), based on a cell relaxed with GGA-PBE.

Atomic structure:
Cell lengths 4.046, 14.103, 4.019 Å; angles 90.00, 90.00, 90.00 degrees
Space group Cmmm (No. 65)
Asymmetric unit:
Th1 0.000 0.000 0.000 x2
Si1 0.000 0.413 0.500 x4
Os1 0.000 0.186 0.500 x4
Os2 0.000 0.312 0.000 x4

Peak list (10 most intense, 15 to 90 degrees two-theta, sorted by position)
2θ/deg	d/Å	I/Imax
36.87	2.438	1000
38.29	2.350	134
44.80	2.023	185
45.17	2.007	360
55.88	1.645	76
60.37	1.533	73
60.63	1.527	72
65.47	1.426	121
77.35	1.234	120
77.81	1.228	118



Entry 7:
LaMg2VN4: calculated powder XRD pattern (Cu Kα), based on a cell relaxed with GGA-PBE.

Atomic structure:
Cell lengths 7.132, 5.893, 5.449 Å; angles 90.00, 90.00, 90.00 degrees
Space group Pmn2_1 (No. 31)
Asymmetric unit:
La1 0.000 0.149 0.000 x2
Mg1 0.246 0.339 0.516 x4
V1 0.000 0.806 0.523 x2
N1 0.000 0.120 0.477 x2
N2 0.000 0.771 0.854 x2
N3 0.209 0.673 0.396 x4

Peak list (10 most intense, 15 to 90 degrees two-theta, sorted by position)
2θ/deg	d/Å	I/Imax
15.03	5.893	293
20.51	4.330	318
22.22	4.001	671
24.97	3.566	366
29.27	3.051	565
32.88	2.724	827
33.67	2.662	1000
34.61	2.592	506
53.24	1.721	296
59.20	1.561	290